Calculated powder X-ray diffraction pattern of BaYAgSe3 for λ = 1.5418 Å (Cu Kα), from a structure optimized by DFT (PBE).

Principal peaks in the range 10 to 90 degrees two-theta, in order of rising 2θ:
d_spacing	I (rel.)
3.065	100
2.988	24
2.751	70
2.712	23
2.703	43
2.184	51
2.148	33
1.791	36

Structural model:
```
BaYAgSe3
1.0
2.148 -7.171 0.000
2.148 7.171 0.000
0.000 0.000 10.813
Ba Y Ag Se
2 2 2 6
Direct
0.249 0.751 0.750
0.751 0.249 0.250
0.000 0.000 0.000
0.000 0.000 0.500
0.470 0.530 0.250
0.530 0.470 0.750
0.080 0.920 0.250
0.365 0.635 0.050
0.365 0.635 0.450
0.635 0.365 0.550
0.635 0.365 0.950
0.920 0.080 0.750
```


Calculated powder X-ray diffraction pattern of SiO2 for λ = 1.5418 Å (Cu Kα), from a structure optimized by DFT (PBE).

Principal peaks in the range 10 to 90 degrees two-theta, in order of rising 2θ:
d_spacing	I (rel.)
6.442	100
5.579	24
4.217	14
3.885	44
3.221	14
2.857	48
2.137	19
1.764	12

Structural model:
```
SiO2
1.0
12.884 0.000 0.000
-6.442 11.158 0.000
0.000 0.000 3.885
Si O
12 24
Direct
0.095 0.429 0.155
0.095 0.666 0.845
0.334 0.429 0.845
0.334 0.905 0.155
0.429 0.095 0.845
0.429 0.334 0.155
0.571 0.666 0.155
0.571 0.905 0.845
0.666 0.095 0.155
0.666 0.571 0.845
0.905 0.334 0.845
0.905 0.571 0.155
0.000 0.296 0.000
0.000 0.402 0.500
0.000 0.598 0.500
0.000 0.704 0.000
0.119 0.560 0.000
0.222 0.443 0.000
0.222 0.778 0.000
0.296 0.000 0.000
0.296 0.296 0.000
0.402 0.000 0.500
0.402 0.402 0.500
0.440 0.560 0.000
0.440 0.881 0.000
0.443 0.222 0.000
0.557 0.778 0.000
0.560 0.119 0.000
0.560 0.440 0.000
0.598 0.000 0.500
0.598 0.598 0.500
0.704 0.000 0.000
0.704 0.704 0.000
0.778 0.222 0.000
0.778 0.557 0.000
0.881 0.440 0.000
```


Calculated powder X-ray diffraction pattern of Nd2Th3O9 for λ = 1.5418 Å (Cu Kα), from a structure optimized by DFT (PBE).

Principal peaks in the range 10 to 90 degrees two-theta, in order of rising 2θ:
d_spacing	I (rel.)
3.256	100
2.831	15
2.814	24
1.995	33
1.990	17
1.705	15
1.698	31
1.295	12

Structural model:
```
Nd2Th3O9
1.0
-1.990 1.990 14.149
1.990 -1.990 14.149
1.990 1.990 -14.149
Nd Th O
2 3 9
Direct
0.194 0.194 0.000
0.806 0.806 0.000
0.000 0.000 0.000
0.400 0.400 0.000
0.600 0.600 0.000
0.053 0.553 0.500
0.155 0.655 0.500
0.345 0.845 0.500
0.447 0.947 0.500
0.547 0.047 0.500
0.644 0.144 0.500
0.750 0.250 0.500
0.856 0.356 0.500
0.953 0.453 0.500
```


Calculated powder X-ray diffraction pattern of FeNi2C6N6 for λ = 1.5418 Å (Cu Kα), from a structure optimized by DFT (PBE).

Principal peaks in the range 10 to 90 degrees two-theta, in order of rising 2θ:
d_spacing	I (rel.)
5.791	35
5.015	75
3.546	100
2.507	61
2.047	26
1.773	28
1.586	32
1.340	25

Structural model:
```
FeNi2C6N6
1.0
0.000 5.015 5.015
5.015 0.000 5.015
5.015 5.015 0.000
Fe Ni C N
1 2 6 6
Direct
0.000 0.000 0.000
0.500 0.500 0.500
0.750 0.750 0.750
0.187 0.187 0.813
0.187 0.813 0.187
0.187 0.813 0.813
0.813 0.187 0.187
0.813 0.187 0.813
0.813 0.813 0.187
0.304 0.304 0.696
0.304 0.696 0.304
0.304 0.696 0.696
0.696 0.304 0.304
0.696 0.304 0.696
0.696 0.696 0.304
```


Calculated powder X-ray diffraction pattern of UPdO3 for λ = 1.5418 Å (Cu Kα), from a structure optimized by DFT (PBE).

Principal peaks in the range 10 to 90 degrees two-theta, in order of rising 2θ:
d_spacing	I (rel.)
4.210	21
2.977	100
2.105	27
1.883	10
1.719	42
1.489	18
1.331	19
1.125	23

Structural model:
```
UPdO3
1.0
4.210 0.000 0.000
0.000 4.210 0.000
0.000 0.000 4.210
U Pd O
1 1 3
Direct
0.000 0.000 0.000
0.500 0.500 0.500
0.000 0.000 0.500
0.000 0.500 0.000
0.500 0.000 0.000
```